For Na3FeP2O8, DFT lattice parameters and positions (GGA+U) gives the calculated powder diffraction line list in this record (Cu Kα (λ = 1.5418 Å)).
Peak positions follow from Bragg's law for the DFT cell and can differ from measured ones.

Structure:
```
28
Lattice="4.6022 -2.5419 0.0000 4.6022 2.5419 0.0000 -0.4938 0.0000 14.0531" Properties=species:S:1:pos:R:3 pbc="T T T"
Na 4.2319 2.2913 10.5398
Na 2.8650 0.2132 5.1449
Na 2.6181 -0.2132 12.1714
Na 6.0926 0.2132 1.8817
Na 5.8457 -0.2132 8.9082
Na 4.4788 -2.2913 3.5133
Fe 0.0000 0.0000 0.0000
Fe -0.2469 0.0000 7.0265
P 2.9997 0.1030 1.5821
P 2.7528 -0.1030 8.6087
P 5.9578 0.1030 5.4444
P 5.7109 -0.1030 12.4709
O 1.5328 0.5071 1.1963
O 3.8515 1.4257 1.6123
O 3.3296 0.8749 7.5489
O 2.7370 0.5728 9.9777
O 1.2859 -0.5071 8.2228
O 5.1061 1.4257 5.4143
O 5.1341 0.8749 13.5307
O 2.9839 -0.5728 2.9512
O 5.7267 0.5728 11.1019
O 3.5765 -0.8749 0.5224
O 3.6046 -1.4257 8.6388
O 7.4247 0.5071 5.8303
O 5.9736 -0.5728 4.0753
O 5.3810 -0.8749 6.5041
O 4.8591 -1.4257 12.4408
O 7.1778 -0.5071 12.8568
```

The 10 most intense peaks (2θ = 15–90°), in order of rising 2θ:
2θ 23.48, I 87; 2θ 31.50, I 21; 2θ 32.19, I 60; 2θ 32.61, I 27; 2θ 34.15, I 100; 2θ 35.31, I 25; 2θ 37.56, I 24; 2θ 48.05, I 36; 2θ 48.82, I 17; 2θ 60.40, I 21